# 1
# PmMg2InPd4
Computed XRD peak list, Cu Kα X-rays. Input: a cell relaxed with GGA-PBE.
Peak positions follow from Bragg's law for the DFT cell and can differ from measured ones.

Lattice parameters (Å, degrees): 4.7093 4.7093 23.2647 90.00 90.00 120.00
Space group R-3m (No. 166, hexagonal axes)
Symmetry-distinct sites (fractional):
Pm (0.0000, 0.0000, 0.0000)
Mg (0.0000, 0.0000, 0.2455)
In (0.0000, 0.0000, 0.5000)
Pd (0.0000, 0.0000, 0.1267)
Pd (0.0000, 0.0000, 0.3833)

Peak list (10 most intense, 15 to 90 degrees two-theta, most intense first)
h k l	d [Å]	I (rel.)
1 1 0	2.355	100
0 1 8	2.368	96
0 1 2	3.849	35
2 0 8	1.670	32
1 2 8	1.362	32
3 0 0	1.359	17
1 0 16	1.370	14
2 0 2	2.011	12
2 2 0	1.177	11
1 0 10	2.021	10

# 2
# PrMgIn2Pd4
Computed XRD peak list, Cu Kα X-rays. Input: a cell relaxed with GGA-PBE.
Peak positions follow from Bragg's law for the DFT cell and can differ from measured ones.

Lattice parameters (Å, degrees): 4.6398 4.6398 25.1148 90.00 90.00 120.00
Space group R-3m (No. 166, hexagonal axes)
Symmetry-distinct sites (fractional):
Pr (0.0000, 0.0000, 0.0000)
Mg (0.0000, 0.0000, 0.5000)
In (0.0000, 0.0000, 0.2422)
Pd (0.0000, 0.0000, 0.1281)
Pd (0.0000, 0.0000, 0.3952)

Peak list (10 most intense, 15 to 90 degrees two-theta, most intense first)
h k l	d [Å]	I (rel.)
1 1 0	2.320	100
0 1 8	2.474	88
2 0 8	1.692	27
1 2 8	1.367	26
0 1 5	3.138	21
3 0 0	1.339	17
1 0 7	2.676	12
2 2 0	1.160	11
0 1 11	1.985	9
0 0 6	4.186	7

# 3
# Mg3In3PdPt2
Computed XRD peak list, Cu Kα X-rays. Input: a cell relaxed with GGA-PBE.
Peak positions follow from Bragg's law for the DFT cell and can differ from measured ones.

Lattice parameters (Å, degrees): 7.6378 7.6378 3.4129 90.00 90.00 120.00
Space group P-62m (No. 189)
Symmetry-distinct sites (fractional):
Mg (0.0000, 0.6091, 0.0000)
In (0.0000, 0.2815, 0.5000)
Pd (0.0000, 0.0000, 0.0000)
Pt (0.3333, 0.6667, 0.5000)

Peak list (10 most intense, 15 to 90 degrees two-theta, most intense first)
h k l	d [Å]	I (rel.)
3 0 0	2.205	100
1 1 0	3.819	96
2 0 1	2.375	75
2 1 1	2.017	73
1 1 1	2.545	65
0 0 1	3.413	53
3 0 1	1.852	43
3 0 2	1.349	41
3 2 1	1.387	39
1 0 1	3.033	36